Starting from the PBE geometry in Alexandria, the XRD peak list of NaEr2MgSe4 was computed for Cu Kα X-rays.
Peak positions follow from Bragg's law for the DFT cell and can differ from measured ones.

Atomic structure:
```
NaEr2MgSe4
1.0
5.716 0.000 0.000
0.000 5.716 0.000
0.000 0.000 11.474
Na Er Mg Se
2 4 2 8
direct
0.000 0.000 0.000
0.500 0.500 0.500
0.000 0.000 0.500
0.000 0.500 0.250
0.500 0.000 0.750
0.500 0.500 0.000
0.000 0.500 0.750
0.500 0.000 0.250
0.000 0.000 0.253
0.000 0.000 0.747
0.000 0.500 0.504
0.000 0.500 0.996
0.500 0.000 0.004
0.500 0.000 0.496
0.500 0.500 0.247
0.500 0.500 0.753
```

Top 10 peaks for 5° ≤ 2θ ≤ 70°, in order of rising 2θ:
Position (°2θ), I/Imax, (hkl)
17.33, 59, 1 0 1
28.07, 20, 1 0 3
31.18, 46, 0 0 4
31.30, 91, 2 0 0
36.00, 20, 2 1 1
42.51, 19, 2 1 3
44.79, 100, 2 2 0
53.70, 10, 3 0 3
55.63, 35, 2 2 4
65.30, 11, 4 0 0



Starting from the PBE geometry in Alexandria, the XRD peak list of AlAsPt was computed for Cu Kα X-rays.
Peak positions follow from Bragg's law for the DFT cell and can differ from measured ones.

Atomic structure:
```
AlAsPt
1.0
6.030 0.000 0.000
0.000 6.292 0.000
-2.392 0.000 5.873
Al As Pt
4 4 4
direct
0.138 0.000 0.158
0.346 0.507 0.449
0.654 0.007 0.551
0.862 0.500 0.842
0.155 0.763 0.643
0.303 0.262 0.954
0.697 0.762 0.046
0.845 0.263 0.357
0.267 0.145 0.561
0.289 0.652 0.056
0.711 0.152 0.944
0.733 0.645 0.439
```

Top 10 peaks for 5° ≤ 2θ ≤ 70°, in order of rising 2θ:
Position (°2θ), I/Imax, (hkl)
22.37, 100, 1 1 -1
28.37, 46, 0 2 0
30.44, 28, 0 0 2
32.06, 44, 2 0 0
43.31, 36, 2 2 0
45.66, 20, 2 2 -2
46.80, 26, 1 3 -1
47.59, 26, 3 1 -1
47.82, 20, 2 1 -3
50.96, 25, 1 3 1



Starting from the PBE geometry in Alexandria, the XRD peak list of Tl2CuSnSe4 was computed for Cu Kα X-rays.
Peak positions follow from Bragg's law for the DFT cell and can differ from measured ones.

Atomic structure:
```
Tl2CuSnSe4
1.0
7.542 0.000 0.000
0.000 7.542 0.000
0.000 0.000 8.237
Tl Cu Sn Se
4 2 2 8
direct
0.000 0.000 0.000
0.000 0.500 0.250
0.500 0.000 0.750
0.500 0.500 0.500
0.000 0.000 0.500
0.500 0.500 0.000
0.000 0.500 0.750
0.500 0.000 0.250
0.167 0.256 0.587
0.244 0.667 0.913
0.256 0.833 0.413
0.333 0.244 0.087
0.667 0.756 0.087
0.744 0.167 0.413
0.756 0.333 0.913
0.833 0.744 0.587
```

Top 10 peaks for 5° ≤ 2θ ≤ 70°, in order of rising 2θ:
Position (°2θ), I/Imax, (hkl)
23.59, 21, 2 0 0
27.36, 100, 1 1 2
28.60, 32, 2 1 1
33.61, 41, 2 2 0
43.87, 52, 1 3 2
48.27, 12, 4 0 0
50.50, 25, 2 0 4
54.40, 13, 4 2 0
56.41, 19, 3 3 2
67.28, 21, 5 1 2